# ZnBi
Simulated PXRD pattern, Cu Kα, 1.54184 Å. Input: a crystal structure in the Materials Project, relaxed with PBE.
Intensities are scaled so that the largest is 100.

Top 10 peaks for 2θ = 10–80°, in order of falling intensity:
hkl 1 2 1, 2θ = 27.8°, I 100
hkl 1 0 2, 2θ = 25.0°, I 89
hkl 2 1 1, 2θ = 31.1°, I 86
hkl 1 3 2, 2θ = 41.9°, I 80
hkl 1 1 2, 2θ = 27.3°, I 80
hkl 2 1 3, 2θ = 43.7°, I 55
hkl 3 1 1, 2θ = 44.0°, I 46
hkl 0 2 0, 2θ = 21.8°, I 39
hkl 0 0 4, 2θ = 42.7°, I 39
hkl 1 4 1, 2θ = 48.0°, I 36

Structural model:
```
data_ZnBi
_space_group_name_H-M_alt 'P b c a'
_space_group_IT_number 61
_space_group_name_Hall '-P 2ac 2ab'
_cell_length_a 6.586
_cell_length_b 8.136
_cell_length_c 8.468
_cell_angle_alpha 90.00
_cell_angle_beta 90.00
_cell_angle_gamma 90.00
loop_
_atom_site_label
_atom_site_type_symbol
_atom_site_fract_x
_atom_site_fract_y
_atom_site_fract_z
_atom_site_occupancy
Zn1 Zn 0.041 0.105 0.125 1
Bi1 Bi 0.146 0.587 0.887 1
```



# CaSc2O4
Simulated PXRD pattern, Cu Kα, 1.54184 Å. Input: a crystal structure in the Materials Project, relaxed with PBE.
Intensities are scaled so that the largest is 100.

Top 10 peaks for 2θ = 10–80°, in order of falling intensity:
hkl 3 0 2, 2θ = 32.4°, I 100
hkl 2 1 4, 2θ = 47.4°, I 58
hkl 1 1 2, 2θ = 33.9°, I 57
hkl 0 0 4, 2θ = 32.0°, I 53
hkl 1 1 3, 2θ = 38.5°, I 51
hkl 0 2 0, 2θ = 58.3°, I 46
hkl 2 1 0, 2θ = 34.0°, I 30
hkl 3 1 1, 2θ = 41.1°, I 29
hkl 4 1 0, 2θ = 47.8°, I 28
hkl 4 1 4, 2θ = 58.7°, I 25

Structural model:
```
data_CaSc2O4
_space_group_name_H-M_alt 'P n m a'
_space_group_IT_number 62
_space_group_name_Hall '-P 2ac 2n'
_cell_length_a 9.536
_cell_length_b 3.163
_cell_length_c 11.187
_cell_angle_alpha 90.00
_cell_angle_beta 90.00
_cell_angle_gamma 90.00
loop_
_atom_site_label
_atom_site_type_symbol
_atom_site_fract_x
_atom_site_fract_y
_atom_site_fract_z
_atom_site_occupancy
Ca1 Ca 0.244 0.250 0.152 1
Sc1 Sc 0.070 0.250 0.388 1
Sc2 Sc 0.080 0.250 0.893 1
O1 O 0.023 0.750 0.784 1
O2 O 0.080 0.250 0.575 1
O3 O 0.123 0.750 0.024 1
O4 O 0.207 0.750 0.328 1
```



# Sr2CdPt2
Simulated PXRD pattern, Cu Kα, 1.54184 Å. Input: a crystal structure in the Materials Project, relaxed with PBE.
Intensities are scaled so that the largest is 100.

Top 10 peaks for 2θ = 10–80°, in order of falling intensity:
hkl 1 2 1, 2θ = 37.1°, I 100
hkl 0 0 2, 2θ = 19.1°, I 57
hkl 1 1 2, 2θ = 31.2°, I 55
hkl 1 0 3, 2θ = 34.9°, I 35
hkl 2 0 0, 2θ = 39.2°, I 34
hkl 1 2 5, 2θ = 62.2°, I 33
hkl 1 0 1, 2θ = 21.6°, I 31
hkl 0 2 2, 2θ = 35.7°, I 30
hkl 1 2 3, 2θ = 46.6°, I 26
hkl 0 0 4, 2θ = 38.8°, I 24

Structural model:
```
data_Sr2CdPt2
_space_group_name_H-M_alt 'I m m m'
_space_group_IT_number 71
_space_group_name_Hall '-I 2 2'
_cell_length_a 4.594
_cell_length_b 5.987
_cell_length_c 9.291
_cell_angle_alpha 90.00
_cell_angle_beta 90.00
_cell_angle_gamma 90.00
loop_
_atom_site_label
_atom_site_type_symbol
_atom_site_fract_x
_atom_site_fract_y
_atom_site_fract_z
_atom_site_occupancy
Sr1 Sr 0.000 0.000 0.200 1
Cd1 Cd 0.000 0.500 0.000 1
Pt1 Pt 0.000 0.273 0.500 1
```



# Nd2Co5Cu5
Simulated PXRD pattern, Cu Kα, 1.54184 Å. Input: a crystal structure in the Materials Project, relaxed with PBE.
Intensities are scaled so that the largest is 100.

Top 10 peaks for 2θ = 10–80°, in order of falling intensity:
hkl 1 1 3, 2θ = 42.3°, I 100
hkl 1 2 0, 2θ = 41.9°, I 54
hkl 1 1 1, 2θ = 30.0°, I 48
hkl 2 0 0, 2θ = 44.6°, I 43
hkl 0 2 2, 2θ = 41.2°, I 43
hkl 1 0 2, 2θ = 30.1°, I 31
hkl 0 1 3, 2θ = 35.8°, I 30
hkl 2 2 2, 2θ = 62.3°, I 24
hkl 1 3 3, 2θ = 68.2°, I 23
hkl 0 0 4, 2θ = 41.7°, I 17

Structural model:
```
data_Nd2Co5Cu5
_space_group_name_H-M_alt 'P m m m'
_space_group_IT_number 47
_space_group_name_Hall '-P 2 2'
_cell_length_a 4.066
_cell_length_b 5.081
_cell_length_c 8.666
_cell_angle_alpha 90.00
_cell_angle_beta 90.00
_cell_angle_gamma 90.00
loop_
_atom_site_label
_atom_site_type_symbol
_atom_site_fract_x
_atom_site_fract_y
_atom_site_fract_z
_atom_site_occupancy
Nd1 Nd 0.000 0.000 0.000 1
Nd2 Nd 0.000 0.500 0.500 1
Co1 Co 0.000 0.000 0.336 1
Co2 Co 0.000 0.500 0.154 1
Co3 Co 0.500 0.500 0.000 1
Cu1 Cu 0.500 0.000 0.500 1
Cu2 Cu 0.500 0.250 0.249 1
```